Structure and theoretical X-ray powder pattern of Co3Br (a cell relaxed with GGA-PBE; Cu Kα).

Atomic structure:
Lattice parameters (Å, degrees): 3.4723 3.4723 5.4451 90.00 90.00 90.00
Space group P4mm (No. 99)
Symmetry-distinct sites (fractional):
Co  0.0000  0.0000  0.0000 [1 per cell]
Co  0.0000  0.5000  0.7178 [2 per cell]
Br  0.5000  0.5000  0.3370 [1 per cell]

Main lines, sorted by position (2θ = 10–80°):
d (Å)  Position (°2θ)  I (rel.)  hkl
5.445  16.28  18  0 0 1
2.928  30.53  89  1 0 1
2.238  40.29  100  1 1 1
2.142  42.18  34  1 0 2
1.823  50.02  45  1 1 2
1.815  50.27  19  0 0 3
1.736  52.72  41  2 0 0
1.493  62.16  22  2 1 1
1.349  69.71  15  2 1 2
1.255  75.83  21  2 0 3

=====

Structure and theoretical X-ray powder pattern of Li2AcYS4 (a cell relaxed with GGA-PBE; Cu Kα).

Atomic structure:
Lattice parameters (Å, degrees): 6.6782 4.0976 7.1584 90.00 111.31 90.00
Space group P2/m (No. 10)
Symmetry-distinct sites (fractional):
Li  0.0000  0.0000  0.0000 [1 per cell]
Li  0.0000  0.5000  0.5000 [1 per cell]
Ac  0.5000  0.0000  0.5000 [1 per cell]
Y  0.5000  0.5000  0.0000 [1 per cell]
S  0.2410  0.5000  0.2250 [2 per cell]
S  0.2466  0.0000  0.7630 [2 per cell]

Main lines, sorted by position (2θ = 10–80°):
d (Å)  Position (°2θ)  I (rel.)  hkl
6.222  14.24  100  1 0 0
3.519  25.31  27  1 0 -2
3.491  25.51  56  0 1 1
3.329  26.78  27  0 0 2
2.849  31.40  36  2 0 -2
2.824  31.68  71  1 1 1
2.578  34.80  39  1 0 2
2.062  43.91  27  1 1 -3
1.954  46.48  34  3 1 -1
1.947  46.64  22  2 0 2

=====

Structure and theoretical X-ray powder pattern of Li2Ni3H8 (a cell relaxed with GGA-PBE; Cu Kα).

Atomic structure:
Lattice parameters (Å, degrees): 3.2077 3.2077 8.8579 90.00 90.00 90.00
Space group P4/mmm (No. 123)
Symmetry-distinct sites (fractional):
Li  0.0000  0.0000  0.1861 [2 per cell]
Ni  0.5000  0.5000  0.0000 [1 per cell]
Ni  0.5000  0.5000  0.3612 [2 per cell]
H  0.0000  0.5000  0.0000 [2 per cell]
H  0.0000  0.5000  0.3630 [4 per cell]
H  0.5000  0.5000  0.1793 [2 per cell]

Main lines, sorted by position (2θ = 10–80°):
d (Å)  Position (°2θ)  I (rel.)  hkl
3.208  27.81  100  1 0 0
2.953  30.27  34  0 0 3
2.598  34.52  7  1 0 2
2.268  39.74  42  1 1 0
2.172  41.57  63  1 0 3
1.799  50.76  26  1 1 3
1.604  57.46  15  2 0 0
1.435  65.01  15  2 1 0
1.409  66.32  12  2 0 3
1.290  73.38  21  2 1 3

=====

Structure and theoretical X-ray powder pattern of RbTl2ICl4 (a cell relaxed with GGA-PBE; Cu Kα).

Atomic structure:
Lattice parameters (Å, degrees): 8.6881 10.1857 12.5890 90.00 90.00 90.00
Space group Imma (No. 74)
Symmetry-distinct sites (fractional):
Rb  0.0000  0.0000  0.0000 [4 per cell]
Tl  0.0000  0.0000  0.5000 [4 per cell]
Tl  0.2500  0.2500  0.2500 [4 per cell]
I  0.2500  0.2500  0.7500 [4 per cell]
Cl  0.0000  0.0721  0.2515 [8 per cell]
Cl  0.2475  0.2500  0.4623 [8 per cell]

Main lines, sorted by position (2θ = 10–80°):
d (Å)  Position (°2θ)  I (rel.)  hkl
7.918  11.17  21  0 1 1
3.959  22.46  72  0 2 2
3.575  24.90  50  2 0 2
3.305  26.98  100  2 2 0
3.147  28.36  44  0 0 4
2.546  35.25  21  0 4 0
2.279  39.54  65  2 2 4
2.074  43.64  33  2 4 2
1.980  45.84  18  0 4 4
1.904  47.76  21  4 2 2

=====

Structure and theoretical X-ray powder pattern of CeDy3S6 (a cell relaxed with GGA-PBE; Cu Kα).

Atomic structure:
Lattice parameters (Å, degrees): 11.0848 3.9859 11.3499 90.00 108.60 90.00
Space group P2_1/m (No. 11)
Symmetry-distinct sites (fractional):
Ce  0.0480  0.2500  0.1931 [2 per cell]
Dy  0.1604  0.2500  0.5857 [2 per cell]
Dy  0.3198  0.7500  0.9986 [2 per cell]
Dy  0.4390  0.2500  0.3326 [2 per cell]
S  0.0825  0.7500  0.4048 [2 per cell]
S  0.1170  0.2500  0.9628 [2 per cell]
S  0.1942  0.7500  0.7497 [2 per cell]
S  0.2622  0.7500  0.2271 [2 per cell]
S  0.3955  0.2500  0.5601 [2 per cell]
S  0.4785  0.2500  0.1120 [2 per cell]

Main lines, sorted by position (2θ = 10–80°):
d (Å)  Position (°2θ)  I (rel.)  hkl
3.782  23.52  80  1 0 -3
3.695  24.09  100  3 0 -1
3.404  26.18  67  1 1 1
3.272  27.25  45  2 0 2
3.240  27.53  49  1 1 -2
2.897  30.86  72  2 1 1
2.630  34.08  54  3 1 0
2.142  42.19  63  4 1 -3
2.072  43.68  41  1 1 4
1.993  45.51  51  0 2 0

=====

Structure and theoretical X-ray powder pattern of MgCd9Ag2 (a cell relaxed with GGA-PBE; Cu Kα).

Atomic structure:
Lattice parameters (Å, degrees): 5.4481 7.2143 7.9805 115.78 90.82 111.38
Space group P-1 (No. 2)
Symmetry-distinct sites (fractional):
Mg  0.0000  0.0000  0.0000 [1 per cell]
Cd  0.0945  0.3118  0.8172 [2 per cell]
Cd  0.2517  0.6701  0.6640 [2 per cell]
Cd  0.3346  0.4955  0.2513 [2 per cell]
Cd  0.4461  0.8245  0.0770 [2 per cell]
Cd  0.5000  0.0000  0.5000 [1 per cell]
Ag  0.1478  0.1807  0.4176 [2 per cell]

Main lines, sorted by position (2θ = 10–80°):
d (Å)  Position (°2θ)  I (rel.)  hkl
2.724  32.88  51  2 -1 0
2.542  35.30  100  0 1 2
2.532  35.45  23  2 -1 1
2.399  37.49  58  1 2 -1
2.386  37.69  61  1 1 -3
2.375  37.87  63  1 -3 1
2.358  38.16  56  1 -2 3
2.202  40.99  27  -2 2 1
1.861  48.93  22  -2 2 2
1.549  59.70  17  0 4 -4